Record 1
The following is a computed X-ray diffraction stick pattern of TlTe. It was derived from a cell relaxed with GGA-PBE, using Cu Kα, 1.54184 Å.

Structural model:
Cell: 9.817 9.817 9.817 Å, 95.94 95.94 142.46°
Atoms (fractional coordinates):
Tl1 0.079 0.772 0.851
Tl2 0.228 0.079 0.307
Tl3 0.272 0.579 0.851
Tl4 0.421 0.272 0.693
Tl5 0.579 0.728 0.307
Tl6 0.728 0.421 0.149
Tl7 0.772 0.921 0.693
Tl8 0.921 0.228 0.149
Te1 0.000 0.500 0.500
Te2 0.163 0.337 0.500
Te3 0.250 0.250 0.000
Te4 0.337 0.837 0.175
Te5 0.500 0.000 0.500
Te6 0.663 0.163 0.825
Te7 0.750 0.750 0.000
Te8 0.837 0.663 0.500

Largest 6 diffraction maxima, low angle first, 15 to 90 degrees two-theta:
2θ (°), I/Imax
28.26, 97
30.41, 54
31.43, 100
52.05, 22
57.53, 28
67.31, 20


Record 2
The following is a computed X-ray diffraction stick pattern of NaAuI4O12. It was derived from a cell relaxed with GGA-PBE, using Cu Kα, 1.54184 Å.

Structural model:
Cell: 5.715 7.190 8.293 Å, 105.80 95.52 110.34°
Atoms (fractional coordinates):
Na1 0.000 0.000 0.000
Au1 0.246 0.012 0.465
I1 0.332 0.640 0.160
I2 0.339 0.714 0.696
I3 0.641 0.354 0.849
I4 0.716 0.310 0.329
O1 0.041 0.398 0.087
O2 0.101 0.788 0.573
O3 0.129 0.800 0.229
O4 0.191 0.734 0.881
O5 0.320 0.233 0.693
O6 0.367 0.231 0.350
O7 0.468 0.651 0.370
O8 0.492 0.315 0.030
O9 0.613 0.966 0.766
O10 0.652 0.619 0.879
O11 0.713 0.053 0.218
O12 0.859 0.350 0.549

Largest 6 diffraction maxima, low angle first, 15 to 90 degrees two-theta:
2θ (°), I/Imax
16.93, 74
17.22, 75
25.90, 85
26.50, 100
27.90, 95
29.85, 68


Record 3
The following is a computed X-ray diffraction stick pattern of Na2LaGeP3O12. It was derived from a cell relaxed with GGA-PBE, using Cu Kα, 1.54184 Å.

Structural model:
Cell: 9.302 9.302 9.060 Å, 118.89 118.89 58.14°
Atoms (fractional coordinates):
Na1 0.003 0.503 0.242
Na2 0.095 0.905 0.500
Na3 0.503 0.003 0.742
Na4 0.905 0.095 0.000
La1 0.160 0.631 0.686
La2 0.631 0.160 0.186
Ge1 0.394 0.864 0.328
Ge2 0.864 0.394 0.828
P1 0.058 0.227 0.501
P2 0.227 0.058 0.001
P3 0.490 0.583 0.522
P4 0.583 0.490 0.022
P5 0.734 0.984 0.526
P6 0.984 0.734 0.026
O1 0.011 0.266 0.671
O2 0.014 0.716 0.866
O3 0.054 0.239 0.004
O4 0.091 0.378 0.515
O5 0.136 0.765 0.199
O6 0.179 0.918 0.832
O7 0.239 0.054 0.504
O8 0.266 0.011 0.171
O9 0.316 0.643 0.552
O10 0.378 0.091 0.015
O11 0.427 0.501 0.855
O12 0.487 0.744 0.500
O13 0.501 0.427 0.355
O14 0.539 0.657 0.189
O15 0.553 0.975 0.494
O16 0.643 0.316 0.052
O17 0.657 0.539 0.689
O18 0.716 0.014 0.366
O19 0.744 0.487 0.000
O20 0.765 0.136 0.699
O21 0.801 0.886 0.028
O22 0.886 0.801 0.528
O23 0.918 0.179 0.332
O24 0.975 0.553 0.994

Largest 6 diffraction maxima, low angle first, 15 to 90 degrees two-theta:
2θ (°), I/Imax
19.07, 100
19.62, 40
22.94, 33
27.89, 25
33.08, 26
34.06, 30